Computed powder diffractogram of Na3HfTaSi3O12 for Cu Kα, from a DFT-relaxed cell (GGA-PBE, the Materials Project).
Lines closer than 0.1° are merged.

```
Na3HfTaSi3O12
1.0
7.8913 -4.5628 0.0000
7.8913 4.5628 0.0000
-5.2099 0.0000 7.4567
Na Hf Ta Si O
6 2 2 6 24
direct
0.0554 0.9446 0.5000
0.1953 0.4235 0.9540
0.3381 0.7899 0.2064
0.4235 0.1953 0.4540
0.7899 0.3381 0.7064
0.9446 0.0554 0.0000
0.1670 0.6655 0.7758
0.6655 0.1670 0.2758
0.4568 0.9496 0.6430
0.9496 0.4568 0.1430
0.0616 0.2689 0.4660
0.2689 0.0616 0.9660
0.3458 0.5637 0.4525
0.5637 0.3458 0.9525
0.7660 0.8468 0.4635
0.8468 0.7660 0.9635
0.0237 0.3073 0.2861
0.0321 0.7370 0.9501
0.0822 0.2391 0.9688
0.1106 0.4325 0.6447
0.1737 0.5171 0.2699
0.2306 0.9012 0.9576
0.2391 0.0822 0.4688
0.2962 0.6098 0.6218
0.3073 0.0237 0.7861
0.3567 0.7457 0.4668
0.3940 0.5307 0.9512
0.4325 0.1106 0.1447
0.5171 0.1737 0.7699
0.5307 0.3940 0.4512
0.5778 0.8677 0.4674
0.6098 0.2962 0.1218
0.6687 0.8170 0.7900
0.7370 0.0321 0.4501
0.7457 0.3567 0.9668
0.8170 0.6687 0.2900
0.8201 0.9342 0.1426
0.8677 0.5778 0.9674
0.9012 0.2306 0.4576
0.9342 0.8201 0.6426
```

Top 6 peaks for 10° ≤ 2θ ≤ 90°, sorted by position:
2θ (°)	intensity
19.45	100
19.52	16
27.69	17
30.93	25
33.99	15
34.06	28



Computed powder diffractogram of NaSmHf4O12 for Cu Kα, from a DFT-relaxed cell (GGA-PBE, the Materials Project).
Lines closer than 0.1° are merged.

```
NaSmHf4O12
1.0
8.2132 0.0000 0.0000
0.0000 4.0285 4.0104
0.0000 -4.0285 4.0104
Na Sm Hf O
1 1 4 12
direct
0.0000 0.0000 0.0000
0.5000 0.5312 0.5312
0.2398 0.0219 0.5055
0.2398 0.5055 0.0219
0.7602 0.0219 0.5055
0.7602 0.5055 0.0219
0.0000 0.5793 0.9962
0.0000 0.9962 0.5793
0.2056 0.2099 0.2099
0.2836 0.3074 0.7198
0.2836 0.7198 0.3074
0.3063 0.7660 0.7660
0.5000 0.0850 0.4729
0.5000 0.4729 0.0850
0.6937 0.7660 0.7660
0.7164 0.3074 0.7198
0.7164 0.7198 0.3074
0.7944 0.2099 0.2099
```

Top 6 peaks for 10° ≤ 2θ ≤ 90°, sorted by position:
2θ (°)	intensity
21.64	32
22.07	30
22.17	32
31.13	100
31.48	50
55.19	23